[1]
For KLaTiO4, a DFT-relaxed cell (GGA-PBE, the Materials Project) gives the simulated X-ray powder pattern in this record (λ = 1.5418 Å (Cu Kα)).
Intensities are scaled so that the largest is 100.

Structural model:
abc: 3.870 3.870 13.605
angles: 90.00 90.00 90.00
Fractional positions:
K (0.250, 0.250, 0.095)
K (0.750, 0.750, 0.905)
La (0.250, 0.250, 0.396)
La (0.750, 0.750, 0.604)
Ti (0.250, 0.250, 0.757)
Ti (0.750, 0.750, 0.243)
O (0.250, 0.250, 0.567)
O (0.250, 0.250, 0.887)
O (0.250, 0.750, 0.274)
O (0.250, 0.750, 0.726)
O (0.750, 0.250, 0.274)
O (0.750, 0.250, 0.726)
O (0.750, 0.750, 0.113)
O (0.750, 0.750, 0.433)

Top 10 peaks for 10° ≤ 2θ ≤ 80°, in order of rising 2θ:
hkl, 2theta, d (Å), I/Imax
1 0 2, 26.5, 3.364, 44
1 0 3, 30.4, 2.944, 100
1 1 0, 32.7, 2.737, 62
0 0 6, 39.8, 2.267, 17
1 1 4, 42.4, 2.132, 25
2 0 0, 47.0, 1.935, 35
1 1 5, 47.1, 1.930, 13
1 1 6, 52.4, 1.746, 19
2 1 3, 56.9, 1.617, 33
2 0 6, 63.2, 1.472, 15

=====

[2]
For CaSiAu, a DFT-relaxed cell (GGA-PBE, the Materials Project) gives the simulated X-ray powder pattern in this record (λ = 1.5418 Å (Cu Kα)).
Intensities are scaled so that the largest is 100.

Structural model:
abc: 4.315 4.315 4.099
angles: 90.00 90.00 120.00
Fractional positions:
Ca (0.000, 0.000, 0.000)
Si (0.667, 0.333, 0.500)
Au (0.333, 0.667, 0.500)

Top 10 peaks for 10° ≤ 2θ ≤ 80°, in order of rising 2θ:
hkl, 2theta, d (Å), I/Imax
0 0 1, 21.7, 4.099, 33
1 0 0, 23.8, 3.737, 61
1 0 1, 32.4, 2.761, 100
1 1 0, 41.9, 2.157, 39
0 0 2, 44.2, 2.049, 11
1 1 1, 47.6, 1.909, 26
1 0 2, 50.8, 1.797, 17
2 0 1, 53.9, 1.700, 24
1 1 2, 62.5, 1.486, 24
2 1 1, 70.5, 1.335, 21